# 1
Computed XRD peak list of LaGe2Pt2 for Cu Kα, 1.54184 Å, from the GGA-PBE geometry in the Materials Project.
Lines closer than 0.1° are merged.

Structural model:
```
LaGe2Pt2
1.0
4.427 0.000 0.000
0.000 4.438 0.000
-0.003 0.000 10.116
La Ge Pt
2 4 4
Cartesian
1.103 0.000 2.500 La
3.322 2.219 7.616 La
1.076 0.042 6.379 Ge
1.112 2.181 10.110 Ge
3.313 4.400 0.006 Ge
3.349 2.261 3.736 Ge
1.098 4.400 8.868 Pt
1.140 2.266 5.069 Pt
3.284 0.047 5.047 Pt
3.326 2.181 1.247 Pt
```

Principal peaks in the range 2θ from 15° to 90°, in order of rising 2θ:
d/Å  intensity
2.994  342
2.684  654
2.664  1000
2.219  406
2.214  406
1.968  400



# 2
Computed XRD peak list of La2Ge5Rh3 for Cu Kα, 1.54184 Å, from the GGA-PBE geometry in the Materials Project.
Lines closer than 0.1° are merged.

Structural model:
```
La2Ge5Rh3
1.0
-5.133 6.135 3.056
5.133 -6.135 3.056
5.133 6.135 -3.056
La Ge Rh
4 10 6
Cartesian
2.382 1.627 0.000 La
2.382 -1.627 3.056 La
2.751 7.762 0.000 La
2.751 4.508 3.056 La
5.133 -2.760 1.528 Ge
6.748 1.232 0.000 Ge
0.000 0.000 1.528 Ge
1.615 4.903 0.000 Ge
5.133 2.760 1.528 Ge
0.000 3.375 1.528 Ge
3.518 1.232 3.056 Ge
0.000 0.000 4.583 Ge
-1.615 4.903 3.056 Ge
0.000 8.895 1.528 Ge
4.022 -4.419 3.056 Rh
5.133 0.000 1.528 Rh
4.022 4.419 0.000 Rh
1.111 1.716 3.056 Rh
0.000 6.135 1.528 Rh
1.111 10.554 0.000 Rh
```

Principal peaks in the range 2θ from 15° to 90°, in order of rising 2θ:
d/Å  intensity
2.685  1000
2.633  710
2.626  858
2.165  977
1.855  273
1.683  244